Record 1
# Th2Cd3In
Calculated PXRD pattern, Cu Kα (λ = 1.5418 Å). Input: a cell relaxed with GGA-PBE.
Peak positions follow from Bragg's law for the DFT cell and can differ from measured ones.

Crystal structure
Lattice parameters (Å, degrees): 10.164 9.478 6.176 77.83 65.73 36.44
Fractional coordinates of all 12 atoms:
1 Th 0.249 0.751 0.751
2 Th 0.250 0.250 0.250
3 Th 0.750 0.750 0.750
4 Th 0.751 0.249 0.249
5 Cd 0.166 0.166 0.834
6 Cd 0.166 0.668 0.332
7 Cd 0.332 0.834 0.166
8 Cd 0.668 0.166 0.834
9 Cd 0.834 0.332 0.668
10 Cd 0.834 0.834 0.166
11 In 0.334 0.334 0.666
12 In 0.666 0.666 0.334

Principal peaks in the range 10 to 90 degrees two-theta, low angle first:
4.400 Å, 2θ 20.2, I 16; 2.745 Å, 2θ 32.6, I 100; 2.540 Å, 2θ 35.3, I 73; 1.865 Å, 2θ 48.8, I 33; 1.757 Å, 2θ 52.1, I 8; 1.503 Å, 2θ 61.7, I 32; 1.467 Å, 2θ 63.4, I 13; 1.445 Å, 2θ 64.5, I 25; 1.270 Å, 2θ 74.7, I 8; 1.153 Å, 2θ 83.9, I 14; 1.132 Å, 2θ 85.9, I 7; 1.126 Å, 2θ 86.4, I 8



Record 2
# K3Tl2Pt4
Calculated PXRD pattern, Cu Kα (λ = 1.5418 Å). Input: a cell relaxed with GGA-PBE.
Peak positions follow from Bragg's law for the DFT cell and can differ from measured ones.

Crystal structure
Lattice parameters (Å, degrees): 6.540 6.540 9.164 103.83 103.83 41.87
Fractional coordinates of all 9 atoms:
1 K 0.000 0.000 0.000
2 K 0.365 0.365 0.630
3 K 0.635 0.635 0.370
4 Tl 0.339 0.339 0.234
5 Tl 0.661 0.661 0.766
6 Pt 0.076 0.076 0.627
7 Pt 0.235 0.235 0.920
8 Pt 0.765 0.765 0.080
9 Pt 0.924 0.924 0.373

Principal peaks in the range 10 to 90 degrees two-theta, low angle first:
5.905 Å, 2θ 15.0, I 10; 5.622 Å, 2θ 15.8, I 100; 3.043 Å, 2θ 29.3, I 9; 3.011 Å, 2θ 29.7, I 9; 2.811 Å, 2θ 31.8, I 20; 2.557 Å, 2θ 35.1, I 9; 2.340 Å, 2θ 38.5, I 50; 2.290 Å, 2θ 39.3, I 28; 2.158 Å, 2θ 41.9, I 18; 2.053 Å, 2θ 44.1, I 14; 1.953 Å, 2θ 46.5, I 14; 1.797 Å, 2θ 50.8, I 11



Record 3
# NaPtW
Calculated PXRD pattern, Cu Kα (λ = 1.5418 Å). Input: a cell relaxed with GGA-PBE.
Peak positions follow from Bragg's law for the DFT cell and can differ from measured ones.

Crystal structure
Lattice parameters (Å, degrees): 2.845 2.845 13.739 90.00 90.00 90.00
Fractional coordinates of all 6 atoms:
1 Na 0.250 0.250 0.122
2 Na 0.750 0.750 0.878
3 Pt 0.250 0.250 0.711
4 Pt 0.750 0.750 0.289
5 W 0.250 0.250 0.422
6 W 0.750 0.750 0.578

Principal peaks in the range 10 to 90 degrees two-theta, low angle first:
6.870 Å, 2θ 12.9, I 12; 2.417 Å, 2θ 37.2, I 100; 2.191 Å, 2θ 41.2, I 68; 2.012 Å, 2θ 45.1, I 40; 1.990 Å, 2θ 45.6, I 17; 1.963 Å, 2θ 46.3, I 17; 1.422 Å, 2θ 65.6, I 13; 1.405 Å, 2θ 66.6, I 23; 1.237 Å, 2θ 77.1, I 11; 1.226 Å, 2θ 77.9, I 24; 1.193 Å, 2θ 80.5, I 20; 1.152 Å, 2θ 84.0, I 12



Record 4
# NaLi2S8
Calculated PXRD pattern, Cu Kα (λ = 1.5418 Å). Input: a cell relaxed with GGA-PBE.
Peak positions follow from Bragg's law for the DFT cell and can differ from measured ones.

Crystal structure
Lattice parameters (Å, degrees): 7.301 7.301 6.881 90.51 90.51 48.46
Fractional coordinates of all 11 atoms:
1 Na 0.000 0.000 0.000
2 Li 0.328 0.328 0.409
3 Li 0.672 0.672 0.591
4 S 0.172 0.172 0.639
5 S 0.198 0.198 0.117
6 S 0.271 0.271 0.866
7 S 0.476 0.476 0.638
8 S 0.524 0.524 0.362
9 S 0.729 0.729 0.134
10 S 0.802 0.802 0.883
11 S 0.828 0.828 0.361

Principal peaks in the range 10 to 90 degrees two-theta, low angle first:
6.658 Å, 2θ 13.3, I 50; 4.808 Å, 2θ 18.5, I 17; 4.761 Å, 2θ 18.6, I 25; 4.271 Å, 2θ 20.8, I 80; 3.567 Å, 2θ 25.0, I 55; 3.329 Å, 2θ 26.8, I 24; 2.997 Å, 2θ 29.8, I 100; 2.404 Å, 2θ 37.4, I 20; 2.381 Å, 2θ 37.8, I 25; 1.875 Å, 2θ 48.6, I 19; 1.864 Å, 2θ 48.9, I 22; 1.722 Å, 2θ 53.2, I 20



Record 5
# CoIr2Br
Calculated PXRD pattern, Cu Kα (λ = 1.5418 Å). Input: a cell relaxed with GGA-PBE.
Peak positions follow from Bragg's law for the DFT cell and can differ from measured ones.

Crystal structure
Lattice parameters (Å, degrees): 2.803 3.550 6.751 90.00 90.00 90.00
Fractional coordinates of all 4 atoms:
1 Co 0.000 0.000 0.000
2 Ir 0.000 0.000 0.619
3 Ir 0.500 0.500 0.813
4 Br 0.000 0.500 0.299

Principal peaks in the range 10 to 90 degrees two-theta, low angle first:
6.751 Å, 2θ 13.1, I 100; 2.589 Å, 2θ 34.7, I 18; 2.446 Å, 2θ 36.7, I 73; 2.200 Å, 2θ 41.0, I 32; 2.156 Å, 2θ 41.9, I 23; 2.092 Å, 2θ 43.3, I 63; 1.901 Å, 2θ 47.9, I 18; 1.775 Å, 2θ 51.5, I 18; 1.755 Å, 2θ 52.1, I 31; 1.248 Å, 2θ 76.3, I 20; 1.216 Å, 2θ 78.7, I 16; 1.151 Å, 2θ 84.1, I 16



Record 6
# LiSm8Sb6
Calculated PXRD pattern, Cu Kα (λ = 1.5418 Å). Input: a cell relaxed with GGA-PBE.
Peak positions follow from Bragg's law for the DFT cell and can differ from measured ones.

Crystal structure
Lattice parameters (Å, degrees): 8.305 8.305 8.305 67.85 67.85 67.85
Fractional coordinates of all 15 atoms:
1 Li 0.000 0.000 0.000
2 Sm 0.097 0.380 0.801
3 Sm 0.199 0.903 0.620
4 Sm 0.331 0.331 0.331
5 Sm 0.380 0.801 0.097
6 Sm 0.620 0.199 0.903
7 Sm 0.669 0.669 0.669
8 Sm 0.801 0.097 0.380
9 Sm 0.903 0.620 0.199
10 Sb 0.073 0.710 0.444
11 Sb 0.290 0.556 0.927
12 Sb 0.444 0.073 0.710
13 Sb 0.556 0.927 0.290
14 Sb 0.710 0.444 0.073
15 Sb 0.927 0.290 0.556

Principal peaks in the range 10 to 90 degrees two-theta, low angle first:
4.635 Å, 2θ 19.1, I 31; 3.744 Å, 2θ 23.8, I 22; 3.175 Å, 2θ 28.1, I 30; 2.996 Å, 2θ 29.8, I 18; 2.891 Å, 2θ 30.9, I 25; 2.676 Å, 2θ 33.5, I 100; 2.620 Å, 2θ 34.2, I 86; 2.559 Å, 2θ 35.1, I 13; 2.046 Å, 2θ 44.3, I 33; 1.872 Å, 2θ 48.6, I 32; 1.534 Å, 2θ 60.3, I 17; 1.365 Å, 2θ 68.7, I 17



Please write out number 2 again, unchanged.
# K3Tl2Pt4
Calculated PXRD pattern, Cu Kα (λ = 1.5418 Å). Input: a cell relaxed with GGA-PBE.
Peak positions follow from Bragg's law for the DFT cell and can differ from measured ones.

Crystal structure
Lattice parameters (Å, degrees): 6.540 6.540 9.164 103.83 103.83 41.87
Fractional coordinates of all 9 atoms:
1 K 0.000 0.000 0.000
2 K 0.365 0.365 0.630
3 K 0.635 0.635 0.370
4 Tl 0.339 0.339 0.234
5 Tl 0.661 0.661 0.766
6 Pt 0.076 0.076 0.627
7 Pt 0.235 0.235 0.920
8 Pt 0.765 0.765 0.080
9 Pt 0.924 0.924 0.373

Principal peaks in the range 10 to 90 degrees two-theta, low angle first:
5.905 Å, 2θ 15.0, I 10; 5.622 Å, 2θ 15.8, I 100; 3.043 Å, 2θ 29.3, I 9; 3.011 Å, 2θ 29.7, I 9; 2.811 Å, 2θ 31.8, I 20; 2.557 Å, 2θ 35.1, I 9; 2.340 Å, 2θ 38.5, I 50; 2.290 Å, 2θ 39.3, I 28; 2.158 Å, 2θ 41.9, I 18; 2.053 Å, 2θ 44.1, I 14; 1.953 Å, 2θ 46.5, I 14; 1.797 Å, 2θ 50.8, I 11



Copy entry 4 word for word.
# NaLi2S8
Calculated PXRD pattern, Cu Kα (λ = 1.5418 Å). Input: a cell relaxed with GGA-PBE.
Peak positions follow from Bragg's law for the DFT cell and can differ from measured ones.

Crystal structure
Lattice parameters (Å, degrees): 7.301 7.301 6.881 90.51 90.51 48.46
Fractional coordinates of all 11 atoms:
1 Na 0.000 0.000 0.000
2 Li 0.328 0.328 0.409
3 Li 0.672 0.672 0.591
4 S 0.172 0.172 0.639
5 S 0.198 0.198 0.117
6 S 0.271 0.271 0.866
7 S 0.476 0.476 0.638
8 S 0.524 0.524 0.362
9 S 0.729 0.729 0.134
10 S 0.802 0.802 0.883
11 S 0.828 0.828 0.361

Principal peaks in the range 10 to 90 degrees two-theta, low angle first:
6.658 Å, 2θ 13.3, I 50; 4.808 Å, 2θ 18.5, I 17; 4.761 Å, 2θ 18.6, I 25; 4.271 Å, 2θ 20.8, I 80; 3.567 Å, 2θ 25.0, I 55; 3.329 Å, 2θ 26.8, I 24; 2.997 Å, 2θ 29.8, I 100; 2.404 Å, 2θ 37.4, I 20; 2.381 Å, 2θ 37.8, I 25; 1.875 Å, 2θ 48.6, I 19; 1.864 Å, 2θ 48.9, I 22; 1.722 Å, 2θ 53.2, I 20